Simulated PXRD pattern of Dy2Er3Cd4 for Cu Kα X-rays, from a structure optimized by DFT (GGA-PBE).
Kinematic intensities with the Lorentz-polarization factor, no thermal factor.

Most intense lines, 2θ = 10–90°, by angle:
3.684 Å, 24.16 deg, intensity 15
3.147 Å, 28.36 deg, intensity 16
3.006 Å, 29.72 deg, intensity 63
2.930 Å, 30.51 deg, intensity 30
2.712 Å, 33.03 deg, intensity 15
2.570 Å, 34.91 deg, intensity 100
2.463 Å, 36.48 deg, intensity 15
2.448 Å, 36.71 deg, intensity 39
2.353 Å, 38.24 deg, intensity 23
2.269 Å, 39.72 deg, intensity 18
1.859 Å, 49.00 deg, intensity 16
1.504 Å, 61.69 deg, intensity 33

Crystal structure
a b c (Å): 9.8505 9.8505 8.0301
angles (deg): 90.00 90.00 140.29
Sites, in units of the cell vectors:
Dy 0.0923 0.9077 0.8992
Dy 0.4077 0.5923 0.3992
Dy 0.5923 0.4077 0.6008
Dy 0.9077 0.0923 0.1008
Er 0.0000 0.0000 0.5000
Er 0.0048 0.4952 0.7500
Er 0.4952 0.0048 0.2500
Er 0.5000 0.5000 0.0000
Er 0.5048 0.9952 0.7500
Er 0.9952 0.5048 0.2500
Cd 0.1606 0.8394 0.5191
Cd 0.1747 0.3253 0.7500
Cd 0.3253 0.1747 0.2500
Cd 0.3394 0.6606 0.0191
Cd 0.6606 0.3394 0.9809
Cd 0.6747 0.8253 0.7500
Cd 0.8253 0.6747 0.2500
Cd 0.8394 0.1606 0.4809